1.
The following is a simulated X-ray powder pattern of Ac3Mg8Hg3. It was derived from a GGA-PBE-relaxed structure, using Cu Kα (λ = 1.5418 Å).
Peak positions follow from Bragg's law for the DFT cell and can differ from measured ones.

Structural model:
abc: 9.229 9.229 10.033
angles: 121.88 121.88 32.24
Element x y z (fractional)
Ac 0.000 0.000 0.000
Ac 0.282 0.282 0.284
Ac 0.718 0.718 0.716
Mg 0.133 0.133 0.838
Mg 0.140 0.140 0.431
Mg 0.343 0.343 0.986
Mg 0.497 0.497 0.666
Mg 0.503 0.503 0.334
Mg 0.657 0.657 0.014
Mg 0.860 0.860 0.569
Mg 0.867 0.867 0.162
Hg 0.000 0.000 0.500
Hg 0.346 0.346 0.702
Hg 0.654 0.654 0.298

Most intense lines, 10 to 90 degrees two-theta, low angle first:
2θ (°), d_spacing, Rel. int.
17.68, 5.015, 48
25.04, 3.556, 100
25.49, 3.495, 40
29.71, 3.007, 40
30.62, 2.920, 37
31.24, 2.863, 35
31.98, 2.799, 58
35.02, 2.562, 50

---

2.
The following is a simulated X-ray powder pattern of HoZr2Sc3. It was derived from a GGA-PBE-relaxed structure, using Cu Kα (λ = 1.5418 Å).
Peak positions follow from Bragg's law for the DFT cell and can differ from measured ones.

Structural model:
abc: 6.172 6.186 8.818
angles: 95.78 95.69 115.52
Element x y z (fractional)
Ho 0.017 0.267 0.066
Ho 0.983 0.733 0.934
Zr 0.150 0.901 0.607
Zr 0.346 0.598 0.393
Zr 0.654 0.402 0.607
Zr 0.850 0.099 0.393
Sc 0.184 0.427 0.713
Sc 0.327 0.071 0.288
Sc 0.483 0.233 0.932
Sc 0.517 0.767 0.068
Sc 0.673 0.929 0.712
Sc 0.816 0.573 0.287

Most intense lines, 10 to 90 degrees two-theta, low angle first:
2θ (°), d_spacing, Rel. int.
19.84, 4.475, 17
20.48, 4.338, 14
31.25, 2.863, 29
34.32, 2.613, 42
35.52, 2.527, 58
35.76, 2.511, 100
55.26, 1.662, 18
62.27, 1.491, 15

---

3.
The following is a simulated X-ray powder pattern of SmEr3Se4. It was derived from a GGA-PBE-relaxed structure, using Cu Kα (λ = 1.5418 Å).
Peak positions follow from Bragg's law for the DFT cell and can differ from measured ones.

Structural model:
abc: 7.089 7.089 4.011
angles: 90.00 90.00 108.71
Element x y z (fractional)
Sm 0.000 0.000 0.000
Er 0.000 0.500 0.500
Er 0.500 0.000 0.500
Er 0.500 0.500 0.000
Se 0.254 0.746 0.000
Se 0.259 0.259 0.500
Se 0.741 0.741 0.500
Se 0.746 0.254 0.000

Most intense lines, 10 to 90 degrees two-theta, low angle first:
2θ (°), d_spacing, Rel. int.
31.07, 2.879, 100
43.83, 2.066, 13
44.50, 2.036, 49
45.21, 2.006, 12
54.68, 1.679, 13
55.86, 1.646, 13
64.77, 1.439, 12
73.56, 1.288, 22

---

4.
The following is a simulated X-ray powder pattern of TbSc2In2Hg2. It was derived from a GGA-PBE-relaxed structure, using Cu Kα (λ = 1.5418 Å).
Peak positions follow from Bragg's law for the DFT cell and can differ from measured ones.

Structural model:
abc: 8.986 8.986 8.986
angles: 31.04 31.04 31.04
Element x y z (fractional)
Tb 0.000 0.000 0.000
Sc 0.136 0.136 0.136
Sc 0.864 0.864 0.864
In 0.266 0.266 0.266
In 0.734 0.734 0.734
Hg 0.437 0.437 0.437
Hg 0.563 0.563 0.563

Most intense lines, 10 to 90 degrees two-theta, low angle first:
2θ (°), d_spacing, Rel. int.
21.62, 4.111, 14
22.45, 3.961, 16
25.51, 3.492, 25
32.56, 2.750, 100
37.40, 2.404, 91
50.41, 1.810, 29
64.43, 1.446, 28
67.47, 1.388, 16

---

5.
The following is a simulated X-ray powder pattern of Ce3UOs3. It was derived from a GGA-PBE-relaxed structure, using Cu Kα (λ = 1.5418 Å).
Peak positions follow from Bragg's law for the DFT cell and can differ from measured ones.

Structural model:
abc: 8.533 8.533 5.170
angles: 90.00 90.00 120.00
Element x y z (fractional)
Ce 0.050 0.274 0.250
Ce 0.224 0.950 0.250
Ce 0.274 0.224 0.750
Ce 0.726 0.776 0.250
Ce 0.776 0.050 0.750
Ce 0.950 0.726 0.750
U 0.333 0.667 0.750
U 0.667 0.333 0.250
Os 0.006 0.427 0.750
Os 0.421 0.994 0.750
Os 0.427 0.421 0.250
Os 0.573 0.579 0.750
Os 0.579 0.006 0.250
Os 0.994 0.573 0.250

Most intense lines, 10 to 90 degrees two-theta, low angle first:
2θ (°), d_spacing, Rel. int.
11.98, 7.390, 17
20.97, 4.236, 19
29.72, 3.006, 38
32.04, 2.793, 26
34.70, 2.585, 47
36.55, 2.458, 100
47.73, 1.905, 41
57.16, 1.611, 17

---

6.
The following is a simulated X-ray powder pattern of La5Ag2Ru. It was derived from a GGA-PBE-relaxed structure, using Cu Kα (λ = 1.5418 Å).
Peak positions follow from Bragg's law for the DFT cell and can differ from measured ones.

Structural model:
abc: 8.126 12.102 4.878
angles: 90.00 90.00 90.00
Element x y z (fractional)
La 0.000 0.000 0.000
La 0.141 0.300 0.000
La 0.187 0.574 0.500
La 0.313 0.074 0.500
La 0.359 0.800 0.000
La 0.500 0.500 0.000
La 0.641 0.200 0.000
La 0.687 0.926 0.500
La 0.813 0.426 0.500
La 0.859 0.700 0.000
Ag 0.081 0.834 0.500
Ag 0.419 0.334 0.500
Ag 0.581 0.666 0.500
Ag 0.919 0.166 0.500
Ru 0.000 0.500 0.000
Ru 0.500 0.000 0.000

Most intense lines, 10 to 90 degrees two-theta, low angle first:
2θ (°), d_spacing, Rel. int.
25.90, 3.441, 29
29.55, 3.023, 100
30.79, 2.904, 52
31.55, 2.835, 47
32.27, 2.774, 64
34.89, 2.571, 33
36.85, 2.439, 54
49.28, 1.849, 27

---

7.
The following is a simulated X-ray powder pattern of Nd8TcAu2. It was derived from a GGA-PBE-relaxed structure, using Cu Kα (λ = 1.5418 Å).
Peak positions follow from Bragg's law for the DFT cell and can differ from measured ones.

Structural model:
abc: 8.267 8.267 6.002
angles: 102.16 102.16 117.89
Element x y z (fractional)
Nd 0.000 0.000 0.000
Nd 0.035 0.266 0.593
Nd 0.170 0.572 0.194
Nd 0.266 0.035 0.593
Nd 0.463 0.697 0.808
Nd 0.572 0.170 0.194
Nd 0.697 0.463 0.808
Nd 0.725 0.725 0.378
Tc 0.361 0.361 0.120
Au 0.062 0.659 0.688
Au 0.659 0.062 0.688

Most intense lines, 10 to 90 degrees two-theta, low angle first:
2θ (°), d_spacing, Rel. int.
26.12, 3.412, 40
30.05, 2.974, 33
30.15, 2.964, 69
30.51, 2.930, 49
32.19, 2.781, 69
34.23, 2.620, 41
35.13, 2.555, 29
35.37, 2.538, 100

---

8.
The following is a simulated X-ray powder pattern of La8Tb3Dy3. It was derived from a GGA-PBE-relaxed structure, using Cu Kα (λ = 1.5418 Å).
Peak positions follow from Bragg's law for the DFT cell and can differ from measured ones.

Structural model:
abc: 9.870 9.870 9.870
angles: 146.36 111.67 78.35
Element x y z (fractional)
La 0.055 0.393 0.662
La 0.073 0.230 0.843
La 0.268 0.607 0.662
La 0.387 0.230 0.157
La 0.613 0.770 0.843
La 0.732 0.393 0.338
La 0.927 0.770 0.157
La 0.945 0.607 0.338
Tb 0.324 0.824 0.500
Tb 0.500 0.500 0.000
Tb 0.676 0.176 0.500
Dy 0.000 0.000 0.000
Dy 0.301 0.000 0.301
Dy 0.699 0.000 0.699

Most intense lines, 10 to 90 degrees two-theta, low angle first:
2θ (°), d_spacing, Rel. int.
28.46, 3.137, 22
29.23, 3.055, 40
29.86, 2.992, 28
31.11, 2.875, 100
31.32, 2.856, 51
33.21, 2.698, 42
43.82, 2.066, 21
55.62, 1.652, 19

---

9.
The following is a simulated X-ray powder pattern of TaInNiC. It was derived from a GGA-PBE-relaxed structure, using Cu Kα (λ = 1.5418 Å).
Peak positions follow from Bragg's law for the DFT cell and can differ from measured ones.

Structural model:
abc: 6.154 6.154 6.154
angles: 150.66 150.66 41.98
Element x y z (fractional)
Ta 0.000 0.000 0.000
In 0.280 0.280 0.000
Ni 0.655 0.655 0.000
C 0.484 0.484 0.000

Most intense lines, 10 to 90 degrees two-theta, low angle first:
2θ (°), d_spacing, Rel. int.
29.69, 3.009, 28
31.13, 2.873, 21
37.19, 2.418, 100
40.94, 2.204, 53
52.31, 1.749, 20
59.29, 1.559, 17
64.11, 1.452, 12
72.10, 1.310, 28

---

10.
The following is a simulated X-ray powder pattern of Pm2Tm6Sc5. It was derived from a GGA-PBE-relaxed structure, using Cu Kα (λ = 1.5418 Å).
Peak positions follow from Bragg's law for the DFT cell and can differ from measured ones.

Structural model:
abc: 11.328 19.303 3.453
angles: 90.00 90.00 90.00
Element x y z (fractional)
Pm 0.153 0.217 0.000
Pm 0.347 0.717 0.000
Pm 0.653 0.283 0.000
Pm 0.847 0.783 0.000
Tm 0.056 0.920 0.000
Tm 0.088 0.633 0.000
Tm 0.175 0.379 0.500
Tm 0.325 0.879 0.500
Tm 0.412 0.133 0.000
Tm 0.444 0.420 0.000
Tm 0.556 0.580 0.000
Tm 0.588 0.867 0.000
Tm 0.675 0.121 0.500
Tm 0.825 0.621 0.500
Tm 0.912 0.367 0.000
Tm 0.944 0.080 0.000
Sc 0.000 0.500 0.500
Sc 0.106 0.778 0.500
Sc 0.198 0.049 0.500
Sc 0.302 0.549 0.500
Sc 0.394 0.278 0.500
Sc 0.500 0.000 0.500
Sc 0.606 0.722 0.500
Sc 0.698 0.451 0.500
Sc 0.802 0.951 0.500
Sc 0.894 0.222 0.500

Most intense lines, 10 to 90 degrees two-theta, low angle first:
2θ (°), d_spacing, Rel. int.
18.38, 4.826, 17
28.56, 3.125, 22
31.94, 2.802, 30
32.86, 2.726, 13
33.19, 2.700, 21
33.44, 2.680, 100
34.60, 2.592, 13
35.69, 2.516, 20

---

11.
The following is a simulated X-ray powder pattern of La2NdY9. It was derived from a GGA-PBE-relaxed structure, using Cu Kα (λ = 1.5418 Å).
Peak positions follow from Bragg's law for the DFT cell and can differ from measured ones.

Structural model:
abc: 5.108 5.108 15.341
angles: 90.00 90.00 90.00
Element x y z (fractional)
La 0.000 0.000 0.166
La 0.000 0.000 0.834
Nd 0.000 0.000 0.500
Y 0.000 0.500 0.000
Y 0.000 0.500 0.335
Y 0.000 0.500 0.665
Y 0.500 0.000 0.000
Y 0.500 0.000 0.335
Y 0.500 0.000 0.665
Y 0.500 0.500 0.168
Y 0.500 0.500 0.500
Y 0.500 0.500 0.832

Most intense lines, 10 to 90 degrees two-theta, low angle first:
2θ (°), d_spacing, Rel. int.
30.30, 2.950, 100
35.12, 2.555, 50
50.52, 1.807, 35
60.05, 1.541, 41
63.02, 1.475, 12
74.24, 1.277, 5
82.24, 1.172, 16
84.86, 1.143, 15

---

12.
The following is a simulated X-ray powder pattern of ReAgO4. It was derived from a GGA-PBE-relaxed structure, using Cu Kα (λ = 1.5418 Å).
Peak positions follow from Bragg's law for the DFT cell and can differ from measured ones.

Structural model:
abc: 7.241 5.387 5.308
angles: 90.00 90.00 90.00
Element x y z (fractional)
Re 0.000 0.161 0.000
Re 0.500 0.839 0.500
Ag 0.000 0.620 0.504
Ag 0.500 0.380 0.004
O 0.000 0.175 0.331
O 0.000 0.850 0.901
O 0.199 0.312 0.885
O 0.301 0.688 0.385
O 0.500 0.150 0.401
O 0.500 0.825 0.831
O 0.699 0.688 0.385
O 0.801 0.312 0.885

Most intense lines, 10 to 90 degrees two-theta, low angle first:
2θ (°), d_spacing, Rel. int.
23.53, 3.781, 100
24.59, 3.620, 73
26.60, 3.352, 86
33.77, 2.654, 32
34.29, 2.615, 54
35.56, 2.524, 44
42.22, 2.141, 32
49.85, 1.829, 33

---

13.
The following is a simulated X-ray powder pattern of Tb5HoIn2. It was derived from a GGA-PBE-relaxed structure, using Cu Kα (λ = 1.5418 Å).
Peak positions follow from Bragg's law for the DFT cell and can differ from measured ones.

Structural model:
abc: 8.457 8.457 8.457
angles: 155.79 102.27 82.84
Element x y z (fractional)
Tb 0.000 0.000 0.000
Tb 0.093 0.366 0.727
Tb 0.361 0.634 0.727
Tb 0.639 0.366 0.273
Tb 0.907 0.634 0.273
Ho 0.500 0.000 0.500
In 0.263 0.263 0.000
In 0.737 0.737 0.000

Most intense lines, 10 to 90 degrees two-theta, low angle first:
2θ (°), d_spacing, Rel. int.
31.14, 2.872, 55
32.93, 2.720, 100
33.78, 2.653, 26
35.85, 2.505, 9
47.92, 1.898, 24
51.54, 1.773, 10
59.91, 1.544, 25
62.52, 1.486, 20